Record 1
For Co4PbC2S, DFT lattice parameters and positions (GGA-PBE) gives the calculated X-ray powder pattern in this record (copper Kα).
Peak positions follow from Bragg's law for the DFT cell and can differ from measured ones.

Main lines, by angle (2θ = 10–90°):
h k l	d_spacing	two_theta	I/Imax
0 0 3	3.887	22.88	24.9
1 0 0	2.666	33.62	46.2
1 0 1	2.599	34.51	19.5
1 0 2	2.425	37.08	61.1
0 0 5	2.332	38.60	15.6
1 0 3	2.199	41.05	100.0
1 0 5	1.755	52.10	23.1
1 0 6	1.571	58.80	16.8
1 1 0	1.539	60.11	29.2
2 0 3	1.261	75.38	16.2

Structure:
a = 3.0785 Å, b = 3.0785 Å, c = 11.6612 Å
α = 90.00°, β = 90.00°, γ = 120.00°
Space group P-6m2 (No. 187)
Symmetry-distinct sites (fractional):
1 Co 0.0000 0.0000 0.1335 x2
2 Co 0.6667 0.3333 0.2826 x2
3 Pb 0.0000 0.0000 0.5000 x1
4 C 0.3333 0.6667 0.2218 x2
5 S 0.6667 0.3333 0.0000 x1

=====

Record 2
For LaAl5CuNi, DFT lattice parameters and positions (GGA-PBE) gives the calculated X-ray powder pattern in this record (copper Kα).
Peak positions follow from Bragg's law for the DFT cell and can differ from measured ones.

Main lines, by angle (2θ = 10–90°):
h k l	d_spacing	two_theta	I/Imax
0 1 1	5.738	15.44	30.5
0 2 0	3.561	25.00	42.0
0 1 3	2.941	30.39	31.2
1 1 2	2.841	31.49	100.0
1 2 1	2.573	34.87	67.4
1 0 3	2.520	35.62	41.9
2 0 0	2.016	44.97	29.0
0 2 4	2.003	45.28	42.4
1 3 2	1.885	48.29	44.7
2 2 4	1.421	65.73	26.8

Structure:
a = 4.031 Å, b = 7.122 Å, c = 9.687 Å
α = 90.00°, β = 90.00°, γ = 90.00°
Space group Imm2 (No. 44)
Symmetry-distinct sites (fractional):
1 La 0.000 0.000 0.000 x2
2 Al 0.000 0.184 0.343 x4
3 Al 0.000 0.193 0.654 x4
4 Al 0.000 0.500 0.999 x2
5 Cu 0.000 0.500 0.243 x2
6 Ni 0.000 0.500 0.761 x2

=====

Record 3
For Cu7Ag2, DFT lattice parameters and positions (GGA-PBE) gives the calculated X-ray powder pattern in this record (copper Kα).
Peak positions follow from Bragg's law for the DFT cell and can differ from measured ones.

Main lines, by angle (2θ = 10–90°):
h k l	d_spacing	two_theta	I/Imax
3 1 1	2.168	41.65	100.0
6 0 -1	2.160	41.83	96.6
3 1 -2	1.905	47.75	64.7
6 0 2	1.817	50.21	27.7
9 1 0	1.316	71.74	17.4
3 1 4	1.314	71.86	16.9
6 2 -1	1.146	84.58	11.3
0 2 3	1.145	84.63	11.0
9 1 -3	1.142	84.90	10.3
9 1 3	1.105	88.46	14.7

Structure:
a = 13.568 Å, b = 2.702 Å, c = 6.479 Å
α = 90.00°, β = 92.42°, γ = 90.00°
Space group C2/m (No. 12)
Symmetry-distinct sites (fractional):
1 Cu 0.000 0.000 0.000 x2
2 Cu 0.061 0.500 0.314 x4
3 Cu 0.170 0.500 0.010 x4
4 Cu 0.219 0.000 0.331 x4
5 Ag 0.110 0.000 0.666 x4

=====

Record 4
For Sr2MgOsSe6, DFT lattice parameters and positions (GGA-PBE) gives the calculated X-ray powder pattern in this record (copper Kα).
Peak positions follow from Bragg's law for the DFT cell and can differ from measured ones.

Main lines, by angle (2θ = 10–90°):
h k l	d_spacing	two_theta	I/Imax
0 0 2	5.718	15.50	100.0
2 0 0	3.291	27.10	65.4
0 0 4	2.872	31.14	73.9
2 1 1	2.852	31.37	85.7
2 1 3	2.334	38.58	30.4
2 2 0	2.327	38.70	36.5
2 0 4	2.164	41.74	37.2
3 1 2	1.957	46.41	46.6
2 2 4	1.809	50.44	56.2
2 4 4	1.310	72.11	32.1

Structure:
a = 6.581 Å, b = 6.581 Å, c = 11.488 Å
α = 90.00°, β = 90.00°, γ = 90.00°
Space group I4/m (No. 87)
Symmetry-distinct sites (fractional):
1 Sr 0.000 0.500 0.250 x4
2 Mg 0.000 0.000 0.000 x2
3 Os 0.000 0.000 0.500 x2
4 Se 0.000 0.000 0.271 x4
5 Se 0.139 0.650 0.500 x8

=====

Record 5
For PrAl3O6, DFT lattice parameters and positions (GGA-PBE) gives the calculated X-ray powder pattern in this record (copper Kα).
Peak positions follow from Bragg's law for the DFT cell and can differ from measured ones.

Main lines, by angle (2θ = 10–90°):
h k l	d_spacing	two_theta	I/Imax
1 1 0	6.313	14.03	62.2
1 1 -1	5.024	17.65	100.0
2 0 0	4.548	19.52	71.2
1 1 1	3.562	25.00	66.8
2 2 -1	3.240	27.53	63.1
2 2 0	3.157	28.27	91.2
3 1 0	2.863	31.24	77.4
1 3 0	2.783	32.16	62.0
4 0 -2	2.402	37.44	58.8
3 3 0	2.106	42.95	40.9

Structure:
a = 10.386 Å, b = 8.769 Å, c = 6.179 Å
α = 90.00°, β = 118.86°, γ = 90.00°
Space group C2/c (No. 15)
Symmetry-distinct sites (fractional):
1 Pr 0.000 0.179 0.250 x4
2 Al 0.000 0.189 0.750 x4
3 Al 0.197 0.446 0.182 x8
4 O 0.106 0.283 0.022 x8
5 O 0.111 0.073 0.677 x8
6 O 0.163 0.420 0.443 x8

=====

Record 6
For Cu9Ag, DFT lattice parameters and positions (GGA-PBE) gives the calculated X-ray powder pattern in this record (copper Kα).
Peak positions follow from Bragg's law for the DFT cell and can differ from measured ones.

Main lines, by angle (2θ = 10–90°):
h k l	d_spacing	two_theta	I/Imax
1 0 0	5.808	15.25	0.8
1 1 0	4.107	21.64	0.6
1 0 1	3.104	28.76	1.2
2 0 0	2.904	30.79	0.7
1 1 1	2.737	32.71	1.3
2 1 0	2.597	34.53	1.5
1 2 1	2.121	42.64	100.0
0 0 2	1.836	49.64	46.8
3 1 2	1.299	72.83	26.9
1 2 3	1.107	88.23	31.6

Structure:
a = 5.808 Å, b = 5.808 Å, c = 3.672 Å
α = 90.00°, β = 90.00°, γ = 90.00°
Space group P4/m (No. 83)
Symmetry-distinct sites (fractional):
1 Cu 0.000 0.000 0.000 x1
2 Cu 0.092 0.704 0.500 x4
3 Cu 0.189 0.396 0.000 x4
4 Ag 0.500 0.500 0.500 x1

=====

Record 7
For Er3Tm2ScAs2Os, DFT lattice parameters and positions (GGA-PBE) gives the calculated X-ray powder pattern in this record (copper Kα).
Peak positions follow from Bragg's law for the DFT cell and can differ from measured ones.

Main lines, by angle (2θ = 10–90°):
h k l	d_spacing	two_theta	I/Imax
0 1 1	6.672	13.27	27.1
0 2 2	3.337	26.71	18.1
1 0 2	2.808	31.87	95.2
1 4 0	2.585	34.70	100.0
0 4 2	2.516	35.68	40.1
0 3 3	2.225	40.55	23.4
1 1 3	2.148	42.06	19.5
2 0 0	2.051	44.16	27.2
2 4 2	1.591	57.97	17.0
1 8 2	1.431	65.20	20.4

Structure:
a = 4.102 Å, b = 13.292 Å, c = 7.717 Å
α = 90.00°, β = 90.00°, γ = 90.00°
Space group Amm2 (No. 38)
Symmetry-distinct sites (fractional):
1 Er 0.000 0.000 0.000 x2
2 Er 0.000 0.200 0.384 x4
3 Tm 0.500 0.120 0.708 x4
4 Sc 0.500 0.000 0.341 x2
5 As 0.500 0.164 0.090 x4
6 Os 0.000 0.000 0.565 x2

=====

Record 8
For AgGeBr6, DFT lattice parameters and positions (GGA-PBE) gives the calculated X-ray powder pattern in this record (copper Kα).
Peak positions follow from Bragg's law for the DFT cell and can differ from measured ones.

Main lines, by angle (2θ = 10–90°):
h k l	d_spacing	two_theta	I/Imax
1 1 1	5.867	15.10	41.5
2 0 0	5.081	17.45	17.6
3 1 1	3.064	29.15	21.1
2 2 2	2.933	30.47	100.0
4 0 0	2.540	35.33	82.6
4 4 0	1.796	50.83	56.5
6 2 2	1.532	60.43	39.7
4 4 4	1.467	63.42	19.0
6 6 2	1.166	82.81	16.3
8 4 0	1.136	85.46	25.2

Structure:
a = 10.162 Å, b = 10.162 Å, c = 10.162 Å
α = 90.00°, β = 90.00°, γ = 90.00°
Space group F-43m (No. 216)
Symmetry-distinct sites (fractional):
1 Ag 0.000 0.000 0.000 x4
2 Ge 0.250 0.250 0.250 x4
3 Br 0.006 0.250 0.250 x24

=====

Record 9
For TbDyB2P2Ir2, DFT lattice parameters and positions (GGA-PBE) gives the calculated X-ray powder pattern in this record (copper Kα).
Peak positions follow from Bragg's law for the DFT cell and can differ from measured ones.

Main lines, by angle (2θ = 10–90°):
h k l	d_spacing	two_theta	I/Imax
0 0 1	8.330	10.62	78.9
1 0 1	3.562	25.00	43.1
0 0 3	2.777	32.24	49.9
1 1 1	2.642	33.93	92.7
1 1 2	2.316	38.89	100.0
2 0 0	1.970	46.07	45.7
2 0 3	1.607	57.34	39.1
1 1 5	1.430	65.23	34.4
3 1 1	1.232	77.45	17.6
3 1 2	1.194	80.45	24.8

Structure:
a = 3.940 Å, b = 3.940 Å, c = 8.330 Å
α = 90.00°, β = 90.00°, γ = 90.00°
Space group P4mm (No. 99)
Symmetry-distinct sites (fractional):
1 Tb 0.000 0.000 0.000 x1
2 Dy 0.500 0.500 0.390 x1
3 B 0.000 0.000 0.582 x1
4 B 0.500 0.500 0.810 x1
5 P 0.000 0.000 0.343 x1
6 P 0.500 0.500 0.049 x1
7 Ir 0.000 0.500 0.695 x2

=====

Record 10
For Dy2FeCoSi2, DFT lattice parameters and positions (GGA-PBE) gives the calculated X-ray powder pattern in this record (copper Kα).
Peak positions follow from Bragg's law for the DFT cell and can differ from measured ones.

Main lines, by angle (2θ = 10–90°):
h k l	d_spacing	two_theta	I/Imax
1 0 1	3.403	26.18	100.0
1 1 0	2.808	31.86	35.3
1 1 1	2.584	34.71	46.1
1 0 2	2.539	35.36	66.1
1 1 2	2.139	42.25	67.5
2 0 0	1.986	45.68	49.0
2 1 1	1.715	53.42	29.3
2 1 2	1.564	59.06	29.9
1 0 4	1.524	60.78	23.7
2 1 4	1.209	79.23	22.3

Structure:
a = 3.972 Å, b = 3.972 Å, c = 6.601 Å
α = 90.00°, β = 90.00°, γ = 90.00°
Space group P-4m2 (No. 115)
Symmetry-distinct sites (fractional):
1 Dy 0.000 0.500 0.182 x2
2 Fe 0.000 0.000 0.500 x1
3 Co 0.500 0.500 0.500 x1
4 Si 0.000 0.500 0.684 x2

=====

Record 11
For ScAl2Hg, DFT lattice parameters and positions (GGA-PBE) gives the calculated X-ray powder pattern in this record (copper Kα).
Peak positions follow from Bragg's law for the DFT cell and can differ from measured ones.

Main lines, by angle (2θ = 10–90°):
h k l	d_spacing	two_theta	I/Imax
0 0 2	5.202	17.04	71.9
1 0 0	4.824	18.39	64.0
1 0 2	3.538	25.17	54.6
0 2 2	2.614	34.31	43.8
0 0 4	2.601	34.48	21.3
1 2 0	2.562	35.03	27.8
2 0 0	2.412	37.28	34.7
1 2 2	2.298	39.20	100.0
1 0 4	2.289	39.35	49.8
2 2 2	1.773	51.56	27.9

Structure:
a = 4.824 Å, b = 6.046 Å, c = 10.404 Å
α = 90.00°, β = 90.00°, γ = 90.00°
Space group Amm2 (No. 38)
Symmetry-distinct sites (fractional):
1 Sc 0.000 0.000 0.000 x2
2 Sc 0.500 0.000 0.337 x2
3 Al 0.000 0.000 0.508 x2
4 Al 0.500 0.000 0.826 x2
5 Al 0.500 0.235 0.584 x4
6 Hg 0.000 0.250 0.249 x4